Calculated X-ray diffraction stick pattern of Pa6WN12 for a wavelength of 1.5418 Å, from a structure optimized by DFT (GGA-PBE).
Lines closer than 0.1° are merged.

Main lines, by intensity (2θ = 10–90°):
2θ (°)  d_spacing  intensity  h k l
29.22  3.057  1000  3 -1 1
33.61  2.666  557  1 2 2
28.34  3.149  363  0 0 3
47.70  1.906  295  3 -1 4
57.43  1.605  271  4 1 3
48.83  1.865  259  4 1 0
56.42  1.631  158  1 2 5
57.92  1.592  139  2 4 1
60.59  1.528  112  6 -2 2
79.70  1.203  93  5 -4 6

```
data_Pa6WN12
_cell_length_a 9.8688
_cell_length_b 9.8688
_cell_length_c 9.4462
_cell_angle_alpha 90.00
_cell_angle_beta 90.00
_cell_angle_gamma 120.00
_space_group_name_H-M_alt 'R -3'
_space_group_IT_number 148
_space_group_name_Hall '-R 3'
loop_
_atom_site_label
_atom_site_fract_x
_atom_site_fract_y
_atom_site_fract_z
Pa1 0.0509 0.7920 0.1573
W1 0.0000 0.0000 0.5000
N1 0.0337 0.8066 0.9018
N2 0.0403 0.8421 0.3927
```

Calculated X-ray diffraction stick pattern of SrPr6Pb3N2 for a wavelength of 1.5418 Å, from a structure optimized by DFT (GGA-PBE).
Lines closer than 0.1° are merged.

Main lines, by intensity (2θ = 10–90°):
2θ (°)  d_spacing  intensity  h k l
30.41  2.940  1000  1 5 1
35.11  2.556  188  2 0 0
34.49  2.601  181  0 10 0
36.14  2.485  174  0 0 2
60.10  1.540  148  3 5 1
61.47  1.508  138  1 5 3
59.27  1.559  129  1 15 1
51.27  1.782  128  2 0 2
50.04  1.823  126  2 10 0
63.26  1.470  125  2 10 2

```
data_SrPr6Pb3N2
_cell_length_a 5.112
_cell_length_b 26.006
_cell_length_c 4.971
_cell_angle_alpha 90.00
_cell_angle_beta 90.00
_cell_angle_gamma 90.00
_space_group_name_H-M_alt 'C m m m'
_space_group_IT_number 65
_space_group_name_Hall '-C 2 2'
loop_
_atom_site_label
_atom_site_fract_x
_atom_site_fract_y
_atom_site_fract_z
Sr1 0.000 0.000 0.000
Pr1 0.000 0.096 0.500
Pr2 0.000 0.201 0.000
Pr3 0.000 0.397 0.000
Pb1 0.000 0.308 0.500
Pb2 0.000 0.500 0.500
N1 0.000 0.104 0.000
```

Calculated X-ray diffraction stick pattern of Sr2Pr5Pb3N2 for a wavelength of 1.5418 Å, from a structure optimized by DFT (GGA-PBE).
Lines closer than 0.1° are merged.

Main lines, by intensity (2θ = 10–90°):
2θ (°)  d_spacing  intensity  h k l
30.32  2.948  1000  1 5 1
59.95  1.543  275  3 5 1
50.66  1.802  254  2 0 2
35.06  2.560  187  2 0 0
35.40  2.536  183  0 0 2
35.01  2.563  175  0 10 0
60.43  1.532  144  1 5 3
63.08  1.474  127  2 10 2
50.39  1.811  125  2 10 0
82.47  1.170  114  3 5 3

```
data_Sr2Pr5Pb3N2
_cell_length_a 5.119
_cell_length_b 25.628
_cell_length_c 5.072
_cell_angle_alpha 90.00
_cell_angle_beta 90.00
_cell_angle_gamma 90.00
_space_group_name_H-M_alt 'C m m m'
_space_group_IT_number 65
_space_group_name_Hall '-C 2 2'
loop_
_atom_site_label
_atom_site_fract_x
_atom_site_fract_y
_atom_site_fract_z
Sr1 0.000 0.097 0.000
Pr1 0.000 0.000 0.500
Pr2 0.000 0.198 0.500
Pr3 0.000 0.398 0.500
Pb1 0.000 0.308 0.000
Pb2 0.000 0.500 0.000
N1 0.000 0.101 0.500
```

Calculated X-ray diffraction stick pattern of Sr2Pr5Pb3N2 for a wavelength of 1.5418 Å, from a structure optimized by DFT (GGA-PBE).
Lines closer than 0.1° are merged.

Main lines, by intensity (2θ = 10–90°):
2θ (°)  d_spacing  intensity  h k l
29.99  2.979  1000  1 5 1
34.98  2.565  194  2 0 0
35.90  2.502  181  0 0 2
33.39  2.684  163  0 10 0
59.68  1.549  145  3 5 1
60.90  1.521  143  1 5 3
50.99  1.791  140  2 0 2
62.32  1.490  115  2 10 2
49.13  1.854  110  2 10 0
49.83  1.830  105  0 10 2

```
data_Sr2Pr5Pb3N2
_cell_length_a 5.130
_cell_length_b 26.839
_cell_length_c 5.004
_cell_angle_alpha 90.00
_cell_angle_beta 90.00
_cell_angle_gamma 90.00
_space_group_name_H-M_alt 'C m m m'
_space_group_IT_number 65
_space_group_name_Hall '-C 2 2'
loop_
_atom_site_label
_atom_site_fract_x
_atom_site_fract_y
_atom_site_fract_z
Sr1 0.000 0.200 0.000
Pr1 0.000 0.000 0.000
Pr2 0.000 0.097 0.500
Pr3 0.000 0.401 0.000
Pb1 0.000 0.317 0.500
Pb2 0.000 0.500 0.500
N1 0.000 0.094 0.000
```